# 1
Diffraction record for BaReH9. The XRD peak list is computed, not measured: it uses DFT lattice parameters and positions (GGA-PBE) and Cu Kα, 1.54184 Å.

Top 6 peaks for 2θ = 10–80°, low angle first:
2θ 25.5, d 3.498, I 1000
2θ 28.2, d 3.164, I 771
2θ 38.4, d 2.347, I 338
2θ 44.9, d 2.020, I 229
2θ 46.6, d 1.949, I 395
2θ 60.5, d 1.531, I 183

Crystal structure
Unit cell a=4.7364 b=4.7364 c=4.7364 alpha=95.21 beta=95.21 gamma=95.21
Atoms (fractional coordinates):
Ba 0.0000 0.0000 0.0000
Re 0.5000 0.5000 0.5000
H 0.1732 0.5171 0.3218
H 0.2602 0.5000 0.7398
H 0.3218 0.1732 0.5171
H 0.4829 0.8268 0.6782
H 0.5000 0.7398 0.2602
H 0.5171 0.3218 0.1732
H 0.6782 0.4829 0.8268
H 0.7398 0.2602 0.5000
H 0.8268 0.6782 0.4829

=====

# 2
Diffraction record for RbAgBiF5. The XRD peak list is computed, not measured: it uses DFT lattice parameters and positions (GGA-PBE) and Cu Kα, 1.54184 Å.

Top 6 peaks for 2θ = 10–80°, low angle first:
2θ 14.7, d 6.008, I 256
2θ 23.1, d 3.855, I 605
2θ 25.1, d 3.544, I 421
2θ 26.8, d 3.328, I 1000
2θ 29.2, d 3.061, I 215
2θ 45.3, d 2.003, I 201

Crystal structure
Unit cell a=6.7617 b=6.7617 c=8.5743 alpha=99.04 beta=99.04 gamma=113.65
Atoms (fractional coordinates):
Rb 0.1590 0.8410 0.7500
Rb 0.8410 0.1590 0.2500
Ag 0.1736 0.8264 0.2500
Ag 0.8264 0.1736 0.7500
Bi 0.5000 0.5000 0.0000
Bi 0.5000 0.5000 0.5000
F 0.1416 0.2407 0.9487
F 0.2158 0.5790 0.4028
F 0.2407 0.1416 0.4487
F 0.4210 0.7842 0.0972
F 0.4231 0.5769 0.7500
F 0.5769 0.4231 0.2500
F 0.5790 0.2158 0.9028
F 0.7593 0.8584 0.5513
F 0.7842 0.4210 0.5972
F 0.8584 0.7593 0.0513

=====

# 3
Diffraction record for Hg2Se. The XRD peak list is computed, not measured: it uses DFT lattice parameters and positions (GGA-PBE) and Cu Kα, 1.54184 Å.

Top 6 peaks for 2θ = 10–80°, low angle first:
2θ 25.4, d 3.506, I 923
2θ 33.6, d 2.667, I 1000
2θ 37.8, d 2.383, I 782
2θ 43.6, d 2.075, I 664
2θ 56.2, d 1.638, I 234
2θ 69.9, d 1.346, I 314

Crystal structure
Unit cell a=4.1503 b=4.1503 c=15.9137 alpha=90.00 beta=90.00 gamma=120.00
Atoms (fractional coordinates):
Hg 0.0000 0.0000 0.0000
Hg 0.0000 0.0000 0.2137
Hg 0.3333 0.6667 0.6667
Hg 0.3333 0.6667 0.8804
Hg 0.6667 0.3333 0.3333
Hg 0.6667 0.3333 0.5470
Se 0.0000 0.0000 0.7684
Se 0.3333 0.6667 0.4351
Se 0.6667 0.3333 0.1018

=====

# 4
Diffraction record for Tm5In2H. The XRD peak list is computed, not measured: it uses DFT lattice parameters and positions (GGA-PBE) and Cu Kα, 1.54184 Å.

Top 6 peaks for 2θ = 10–80°, low angle first:
2θ 16.4, d 5.416, I 135
2θ 33.1, d 2.708, I 1000
2θ 37.2, d 2.415, I 366
2θ 40.6, d 2.221, I 143
2θ 56.3, d 1.635, I 220
2θ 64.5, d 1.445, I 298

Crystal structure
Unit cell a=6.8312 b=6.8312 c=8.8855 alpha=90.00 beta=90.00 gamma=90.00
Atoms (fractional coordinates):
Tm 0.0000 0.0000 0.0000
Tm 0.2480 0.2480 0.7459
Tm 0.2480 0.7520 0.7459
Tm 0.2520 0.2520 0.2459
Tm 0.2520 0.7480 0.2459
Tm 0.5000 0.5000 0.5000
Tm 0.7480 0.2520 0.2459
Tm 0.7480 0.7480 0.2459
Tm 0.7520 0.2480 0.7459
Tm 0.7520 0.7520 0.7459
In 0.0000 0.5000 0.4970
In 0.0000 0.5000 0.9970
In 0.5000 0.0000 0.4970
In 0.5000 0.0000 0.9970
H 0.0000 0.0000 0.2465
H 0.5000 0.5000 0.7465

=====

# 5
Diffraction record for BeSiF. The XRD peak list is computed, not measured: it uses DFT lattice parameters and positions (GGA-PBE) and Cu Kα, 1.54184 Å.

Top 6 peaks for 2θ = 10–80°, low angle first:
2θ 27.0, d 3.307, I 334
2θ 34.0, d 2.639, I 638
2θ 35.5, d 2.526, I 1000
2θ 41.3, d 2.188, I 492
2θ 55.6, d 1.654, I 355
2θ 57.7, d 1.598, I 375

Crystal structure
Unit cell a=2.7334 b=6.6138 c=4.3771 alpha=90.00 beta=90.00 gamma=90.00
Atoms (fractional coordinates):
Be 0.0000 0.1401 0.0000
Be 0.0000 0.8599 0.5000
Si 0.5000 0.4151 0.0857
Si 0.5000 0.5849 0.5857
F 0.0000 0.0689 0.6635
F 0.0000 0.9311 0.1635

=====

# 6
Diffraction record for RbLiMgSe2. The XRD peak list is computed, not measured: it uses DFT lattice parameters and positions (GGA-PBE) and Cu Kα, 1.54184 Å.

Top 6 peaks for 2θ = 10–80°, low angle first:
2θ 25.7, d 3.468, I 846
2θ 26.7, d 3.337, I 1000
2θ 30.3, d 2.948, I 286
2θ 30.6, d 2.920, I 637
2θ 43.3, d 2.091, I 281
2θ 51.1, d 1.786, I 303

Crystal structure
Unit cell a=7.3326 b=7.3326 c=10.7154 alpha=120.21 beta=120.21 gamma=34.15
Atoms (fractional coordinates):
Rb 0.1681 0.1681 0.1330
Rb 0.8319 0.8319 0.8670
Li 0.3470 0.3470 0.5660
Li 0.6530 0.6530 0.4340
Mg 0.0337 0.0337 0.6754
Mg 0.9663 0.9663 0.3246
Se 0.1645 0.1645 0.5720
Se 0.4588 0.4588 0.1826
Se 0.5412 0.5412 0.8174
Se 0.8355 0.8355 0.4280

=====

# 7
Diffraction record for Rb2BaF5. The XRD peak list is computed, not measured: it uses DFT lattice parameters and positions (GGA-PBE) and Cu Kα, 1.54184 Å.

Top 6 peaks for 2θ = 10–80°, low angle first:
2θ 24.9, d 3.578, I 348
2θ 25.1, d 3.543, I 706
2θ 25.7, d 3.461, I 1000
2θ 36.1, d 2.485, I 560
2θ 44.3, d 2.043, I 216
2θ 44.7, d 2.026, I 369

Crystal structure
Unit cell a=12.2332 b=8.3753 c=7.1554 alpha=90.00 beta=90.00 gamma=90.00
Atoms (fractional coordinates):
Rb 0.1844 0.0054 0.0126
Rb 0.1844 0.4946 0.0126
Rb 0.3156 0.5054 0.5126
Rb 0.3156 0.9946 0.5126
Rb 0.6844 0.0054 0.4874
Rb 0.6844 0.4946 0.4874
Rb 0.8156 0.5054 0.9874
Rb 0.8156 0.9946 0.9874
Ba 0.0079 0.2500 0.5017
Ba 0.4921 0.7500 0.0017
Ba 0.5079 0.2500 0.9983
Ba 0.9921 0.7500 0.4983
F 0.0378 0.7500 0.8920
F 0.1040 0.5065 0.3690
F 0.1040 0.9935 0.3690
F 0.1653 0.2500 0.7409
F 0.1765 0.7500 0.7387
F 0.3235 0.2500 0.2387
F 0.3347 0.7500 0.2409
F 0.3960 0.0065 0.8690
F 0.3960 0.4935 0.8690
F 0.4622 0.2500 0.3920
F 0.5378 0.7500 0.6080
F 0.6040 0.5065 0.1310
F 0.6040 0.9935 0.1310
F 0.6653 0.2500 0.7591
F 0.6765 0.7500 0.7613
F 0.8235 0.2500 0.2613
F 0.8347 0.7500 0.2591
F 0.8960 0.0065 0.6310
F 0.8960 0.4935 0.6310
F 0.9622 0.2500 0.1080